(1)
Diffraction record for Li4MnVW2O12. The PXRD pattern is computed, not measured: it uses the GGA+U geometry in the Materials Project and Cu Kα, 1.54184 Å.
No peak broadening, texture or thermal motion is included.

Crystal structure
```
Li4MnVW2O12
1.0
5.071 0.000 0.000
-0.017 5.381 0.000
-0.115 -0.645 7.660
Li Mn V W O
4 1 1 2 12
Direct
0.000 0.000 0.000 Li
0.001 0.983 0.520 Li
0.498 0.463 0.524 Li
0.515 0.461 0.005 Li
0.504 0.052 0.723 Mn
0.999 0.531 0.252 V
0.017 0.557 0.745 W
0.495 0.029 0.223 W
0.133 0.574 0.972 O
0.183 0.869 0.280 O
0.198 0.260 0.656 O
0.302 0.383 0.285 O
0.306 0.751 0.655 O
0.383 0.091 0.994 O
0.633 0.087 0.450 O
0.698 0.374 0.772 O
0.699 0.752 0.154 O
0.813 0.270 0.159 O
0.824 0.868 0.769 O
0.880 0.565 0.463 O
```

Most intense lines, 2θ = 10–90°, in order of rising 2θ:
index  Position (°2θ)  I_rel
0 1 -1  19.4  43
1 0 -1  20.9  36
0 1 1  21.0  34
0 0 2  23.2  100
1 -1 0  24.1  93
1 1 0  24.2  90
1 1 -2  32.6  39
1 -1 2  32.9  36

***

(2)
Diffraction record for Li3V3B2O10. The PXRD pattern is computed, not measured: it uses the GGA+U geometry in the Materials Project and Cu Kα, 1.54184 Å.
No peak broadening, texture or thermal motion is included.

Crystal structure
```
Li3V3B2O10
1.0
9.434 0.000 0.000
0.000 2.993 0.000
-0.178 0.000 12.063
Li V B O
6 6 4 20
Direct
0.000 0.000 0.000 Li
0.001 0.500 0.198 Li
0.006 0.500 0.484 Li
0.498 0.500 0.990 Li
0.506 0.500 0.709 Li
0.507 0.500 0.263 Li
0.001 0.500 0.774 V
0.243 0.000 0.599 V
0.262 0.000 0.101 V
0.510 0.000 0.486 V
0.735 0.000 0.885 V
0.770 0.000 0.367 V
0.242 0.000 0.349 B
0.274 0.000 0.846 B
0.743 0.000 0.129 B
0.777 0.000 0.620 B
0.120 0.500 0.639 O
0.123 0.000 0.841 O
0.138 0.500 0.061 O
0.165 0.000 0.449 O
0.170 0.000 0.249 O
0.344 0.000 0.745 O
0.347 0.000 0.944 O
0.383 0.500 0.133 O
0.385 0.500 0.558 O
0.388 0.000 0.353 O
0.626 0.500 0.844 O
0.628 0.500 0.418 O
0.632 0.000 0.625 O
0.659 0.000 0.030 O
0.665 0.000 0.228 O
0.855 0.000 0.525 O
0.855 0.000 0.724 O
0.880 0.500 0.907 O
0.881 0.500 0.341 O
0.885 0.000 0.129 O
```

Most intense lines, 2θ = 10–90°, in order of rising 2θ:
index  Position (°2θ)  I_rel
1 0 2  17.6  100
2 0 0  18.8  30
0 1 0  29.9  32
2 0 -4  35.1  19
2 1 0  35.5  64
3 1 -2  44.3  23
3 1 2  44.6  22
0 2 0  62.0  20